Computed XRD peak list of RbReAg3Te4 for Cu Kα, 1.54184 Å, from a cell relaxed with GGA-PBE.
Peak positions follow from Bragg's law for the DFT cell and can differ from measured ones.

Peak list (10 most intense, 2θ = 15–90°, in order of rising 2θ)
d 4.867, I = 182; d 3.974, I = 642; d 2.810, I = 166; d 2.434, I = 1000; d 2.295, I = 159; d 2.075, I = 248; d 1.909, I = 216; d 1.840, I = 122; d 1.721, I = 143; d 1.405, I = 256

Cell lengths 6.8835, 6.8835, 6.8835 Å; angles 90.00, 90.00, 90.00 degrees
Atoms (fractional coordinates):
1 Rb 0.0000 0.0000 0.0000
2 Re 0.5000 0.5000 0.5000
3 Ag 0.0000 0.5000 0.5000
4 Ag 0.5000 0.0000 0.5000
5 Ag 0.5000 0.5000 0.0000
6 Te 0.2842 0.2842 0.2842
7 Te 0.2842 0.7158 0.7158
8 Te 0.7158 0.2842 0.7158
9 Te 0.7158 0.7158 0.2842

Computed XRD peak list of La3FeCoS7 for Cu Kα, 1.54184 Å, from a cell relaxed with GGA-PBE.
Peak positions follow from Bragg's law for the DFT cell and can differ from measured ones.

Peak list (10 most intense, 2θ = 15–90°, in order of rising 2θ)
d 4.886, I = 242; d 3.846, I = 261; d 3.526, I = 1000; d 3.334, I = 294; d 2.629, I = 354; d 2.545, I = 563; d 2.444, I = 591; d 2.258, I = 350; d 2.203, I = 282; d 1.829, I = 258

Cell lengths 10.1843, 10.1843, 5.8689 Å; angles 90.00, 90.00, 120.00 degrees
Atoms (fractional coordinates):
1 La 0.1416 0.3723 0.0000
2 La 0.2307 0.8584 0.0000
3 La 0.3723 0.2307 0.5000
4 La 0.6277 0.7693 0.0000
5 La 0.7693 0.1416 0.5000
6 La 0.8584 0.6277 0.5000
7 Fe 0.3333 0.6667 0.4137
8 Fe 0.6667 0.3333 0.9137
9 Co 0.0000 0.0000 0.2794
10 Co 0.0000 0.0000 0.7794
11 S 0.0832 0.2185 0.5317
12 S 0.0975 0.5809 0.2794
13 S 0.1354 0.9168 0.5317
14 S 0.2185 0.1354 0.0317
15 S 0.3333 0.6667 0.7908
16 S 0.4191 0.5166 0.2794
17 S 0.4834 0.9025 0.2794
18 S 0.5166 0.0975 0.7794
19 S 0.5809 0.4834 0.7794
20 S 0.6667 0.3333 0.2908
21 S 0.7815 0.8646 0.5317
22 S 0.8646 0.0832 0.0317
23 S 0.9025 0.4191 0.7794
24 S 0.9168 0.7815 0.0317

Computed XRD peak list of HoEr7 for Cu Kα, 1.54184 Å, from a cell relaxed with GGA-PBE.
Peak positions follow from Bragg's law for the DFT cell and can differ from measured ones.

Peak list (10 most intense, 2θ = 15–90°, in order of rising 2θ)
d 3.090, I = 239; d 2.770, I = 239; d 2.699, I = 1000; d 2.063, I = 155; d 1.784, I = 198; d 1.585, I = 203; d 1.500, I = 225; d 1.488, I = 164; d 1.143, I = 142; d 1.094, I = 85

Cell lengths 7.1363, 7.1363, 5.5399 Å; angles 90.00, 90.00, 120.00 degrees
Atoms (fractional coordinates):
1 Ho 0.0000 0.0000 0.0000
2 Er 0.3333 0.6667 0.5000
3 Er 0.3349 0.1674 0.5000
4 Er 0.5008 0.0016 0.0000
5 Er 0.5008 0.4992 0.0000
6 Er 0.8326 0.1674 0.5000
7 Er 0.8326 0.6651 0.5000
8 Er 0.9984 0.4992 0.0000

Copy entry 1 word for word.
Computed XRD peak list of RbReAg3Te4 for Cu Kα, 1.54184 Å, from a cell relaxed with GGA-PBE.
Peak positions follow from Bragg's law for the DFT cell and can differ from measured ones.

Peak list (10 most intense, 2θ = 15–90°, in order of rising 2θ)
d 4.867, I = 182; d 3.974, I = 642; d 2.810, I = 166; d 2.434, I = 1000; d 2.295, I = 159; d 2.075, I = 248; d 1.909, I = 216; d 1.840, I = 122; d 1.721, I = 143; d 1.405, I = 256

Cell lengths 6.8835, 6.8835, 6.8835 Å; angles 90.00, 90.00, 90.00 degrees
Atoms (fractional coordinates):
1 Rb 0.0000 0.0000 0.0000
2 Re 0.5000 0.5000 0.5000
3 Ag 0.0000 0.5000 0.5000
4 Ag 0.5000 0.0000 0.5000
5 Ag 0.5000 0.5000 0.0000
6 Te 0.2842 0.2842 0.2842
7 Te 0.2842 0.7158 0.7158
8 Te 0.7158 0.2842 0.7158
9 Te 0.7158 0.7158 0.2842

Number 3 is which compound?
HoEr7